For Cs2U3HgS8, a GGA-PBE-relaxed structure gives the computed X-ray powder pattern in this record (λ = 1.5418 Å (Cu Kα)).

```
Cs2U3HgS8
1.0
4.0379 2.3313 8.5771
-4.0379 2.3313 8.5771
0.0000 -4.6626 8.5771
Cs U Hg S
2 3 1 8
direct
0.0000 0.0000 0.0000
0.3607 0.3607 0.3607
0.3602 0.3602 0.8578
0.3602 0.8578 0.3602
0.8578 0.3602 0.3602
0.7217 0.7217 0.7217
0.0971 0.0971 0.5464
0.0971 0.5464 0.0971
0.1380 0.1380 0.1380
0.1701 0.6244 0.6244
0.5464 0.0971 0.0971
0.5804 0.5804 0.5804
0.6244 0.1701 0.6244
0.6244 0.6244 0.1701
```

The 6 most intense peaks (10 to 80 degrees two-theta), low angle first:
2θ (°)	d/Å	intensity
10.31	8.577	49
24.36	3.653	100
25.71	3.465	54
35.43	2.534	59
38.01	2.367	46
44.90	2.019	45